[1]
Cs2Cd12In7: computed powder diffraction line list (a wavelength of 1.5418 Å), based on the GGA-PBE geometry in Alexandria.

Main lines, sorted by position (2θ = 15–90°):
index	d/Å	Position (°2θ)	I_rel
2 1 1	3.062	29.17	100
3 0 1	2.811	31.84	16
0 0 2	2.597	34.53	19
4 -1 1	2.452	36.66	43
1 4 0	2.188	41.26	16
5 -3 1	2.103	43.00	14

Lattice parameters (Å, degrees): 11.5775 11.5775 5.1946 90.00 90.00 120.00
Space group P-3 (No. 147)
Symmetry-distinct sites (fractional):
Cs (0.3333, 0.6667, 0.2283)
Cd (0.0468, 0.4377, 0.7838)
Cd (0.1216, 0.8694, 0.1783)
In (0.0000, 0.0000, 0.5000)
In (0.1111, 0.7229, 0.6870)

[2]
Cs2Cd7In12: computed powder diffraction line list (a wavelength of 1.5418 Å), based on the GGA-PBE geometry in Alexandria.

Main lines, sorted by position (2θ = 15–90°):
index	d/Å	Position (°2θ)	I_rel
2 1 1	3.081	28.98	100
4 -1 1	2.494	36.00	22
0 0 2	2.475	36.30	24
3 2 0	2.389	37.65	16
0 4 1	2.304	39.10	19
1 4 0	2.272	39.67	19

Lattice parameters (Å, degrees): 12.0236 12.0236 4.9499 90.00 90.00 120.00
Space group P-3 (No. 147)
Symmetry-distinct sites (fractional):
Cs (0.3333, 0.6667, 0.2463)
Cd (0.0000, 0.0000, 0.5000)
Cd (0.1030, 0.6977, 0.7327)
In (0.0629, 0.4284, 0.7576)
In (0.1270, 0.2561, 0.2235)

[3]
Cs3Cd9In2: computed powder diffraction line list (a wavelength of 1.5418 Å), based on the GGA-PBE geometry in Alexandria.

Main lines, sorted by position (2θ = 15–90°):
index	d/Å	Position (°2θ)	I_rel
0 4 0	3.436	25.93	49
1 3 0	3.394	26.26	100
2 0 0	2.527	35.52	54
1 0 5	2.506	35.83	51
0 3 5	2.442	36.81	38
1 2 5	2.354	38.23	61

Lattice parameters (Å, degrees): 5.0541 13.7437 14.4299 90.00 90.00 90.00
Space group Immm (No. 71)
Symmetry-distinct sites (fractional):
Cs (0.0000, 0.0000, 0.0000)
Cs (0.0000, 0.0000, 0.2925)
Cd (0.0000, 0.2895, 0.3012)
Cd (0.0000, 0.3043, 0.1011)
Cd (0.0000, 0.5000, 0.0000)
In (0.0000, 0.2719, 0.5000)

[4]
CsCd2In3: computed powder diffraction line list (a wavelength of 1.5418 Å), based on the GGA-PBE geometry in Alexandria.

Main lines, sorted by position (2θ = 15–90°):
index	d/Å	Position (°2θ)	I_rel
3 1 -2	3.176	28.09	100
5 1 0	2.928	30.53	79
1 1 2	2.902	30.81	44
4 0 -3	2.706	33.11	29
0 2 0	2.630	34.09	77
3 1 -3	2.446	36.74	42

Lattice parameters (Å, degrees): 19.0775 5.2593 8.2996 90.00 112.52 90.00
Space group C2/m (No. 12)
Symmetry-distinct sites (fractional):
Cs (0.1066, 0.0000, 0.1506)
Cd (0.0077, 0.5000, 0.7010)
Cd (0.2384, 0.0000, 0.7033)
In (0.0769, 0.0000, 0.6506)
In (0.1620, 0.5000, 0.5083)
In (0.1849, 0.5000, 0.8990)

[5]
Cs3Cd2In4: computed powder diffraction line list (a wavelength of 1.5418 Å), based on the GGA-PBE geometry in Alexandria.

Main lines, sorted by position (2θ = 15–90°):
index	d/Å	Position (°2θ)	I_rel
0 2 -1	3.619	24.60	100
1 1 -2	3.339	26.70	96
1 1 0	3.307	26.96	94
1 -1 3	2.578	34.80	95
-2 1 1	2.556	35.11	96
1 3 -3	1.874	48.57	71

Lattice parameters (Å, degrees): 5.1123 7.7050 10.7660 98.82 103.70 109.29
Space group P-1 (No. 2)
Symmetry-distinct sites (fractional):
Cs (0.0000, 0.0000, 0.0000)
Cs (0.2549, 0.8755, 0.6361)
Cd (0.0878, 0.4088, 0.7663)
In (0.3435, 0.6086, 0.0774)
In (0.4675, 0.5633, 0.3732)

[6]
CsCd2In3: computed powder diffraction line list (a wavelength of 1.5418 Å), based on the GGA-PBE geometry in Alexandria.

Main lines, sorted by position (2θ = 15–90°):
index	d/Å	Position (°2θ)	I_rel
2 0 0	2.857	31.31	33
1 1 1	2.748	32.59	100
0 0 2	2.479	36.23	65
3 0 1	1.778	51.38	27
2 2 0	1.650	55.72	23
2 2 2	1.374	68.27	30

Lattice parameters (Å, degrees): 6.5982 6.5982 4.9656 90.00 90.00 120.00
Space group P6/mmm (No. 191)
Symmetry-distinct sites (fractional):
Cs (0.0000, 0.0000, 0.0000)
Cd (0.3333, 0.6667, 0.0000)
In (0.0000, 0.5000, 0.5000)